1.
Calculated powder XRD pattern
Compound: MgCoO3
Radiation: Cu Ka
Structure: a DFT-relaxed cell (PBE+U, the Materials Project)
Kinematic intensities with the Lorentz-polarization factor, no thermal factor.

The 8 most intense peaks (10° ≤ 2θ ≤ 90°), in order of rising 2θ:
index	d [Å]	Rel. int.
0 2 0	3.596	24
1 0 1	3.559	52
2 0 0	2.573	25
1 2 1	2.529	100
0 0 2	2.464	19
0 4 0	1.798	17
2 0 2	1.779	29
1 2 3	1.435	30

Atomic structure:
Cell: 5.146 7.191 4.927 Å, 90.00 90.00 90.00°
Space group Pnma (No. 62)
Unique sites:
Mg 0.068 0.250 0.015 x4
Co 0.000 0.000 0.500 x4
O 0.054 0.750 0.376 x4
O 0.188 0.564 0.813 x8


2.
Calculated powder XRD pattern
Compound: CsThMo2ClO8
Radiation: Cu Ka
Structure: a DFT-relaxed cell (PBE+U, the Materials Project)
Kinematic intensities with the Lorentz-polarization factor, no thermal factor.

The 8 most intense peaks (10° ≤ 2θ ≤ 90°), in order of rising 2θ:
index	d [Å]	Rel. int.
1 1 1	5.626	32
2 1 -1	4.312	33
2 2 0	3.621	44
0 2 2	3.526	100
3 0 0	3.431	38
2 0 2	3.374	34
1 3 0	3.226	25
0 1 3	3.099	33

Atomic structure:
Cell: 10.349 10.192 9.818 Å, 90.00 95.89 90.00°
Space group P2_1/c (No. 14)
Unique sites:
Cs 0.017 0.224 0.006 x4
Th 0.331 0.534 0.196 x4
Mo 0.293 0.591 0.790 x4
Mo 0.418 0.223 0.004 x4
Cl 0.064 0.005 0.728 x4
O 0.231 0.034 0.180 x4
O 0.238 0.750 0.219 x4
O 0.246 0.571 0.963 x4
O 0.302 0.181 0.588 x4
O 0.325 0.112 0.890 x4
O 0.467 0.630 0.384 x4
O 0.468 0.585 0.798 x4
O 0.493 0.670 0.095 x4


3.
Calculated powder XRD pattern
Compound: Ba2CaMn2CuF14
Radiation: Cu Ka
Structure: a DFT-relaxed cell (PBE+U, the Materials Project)
Kinematic intensities with the Lorentz-polarization factor, no thermal factor.

The 8 most intense peaks (10° ≤ 2θ ≤ 90°), in order of rising 2θ:
index	d [Å]	Rel. int.
0 0 4	3.769	26
3 1 0	3.528	100
2 0 -4	3.398	32
3 1 -2	3.254	25
2 0 4	3.224	28
1 1 -4	3.066	55
1 1 4	2.998	24
0 2 4	2.217	21

Atomic structure:
Cell: 13.855 5.482 15.103 Å, 90.00 93.49 90.00°
Space group C2/c (No. 15)
Unique sites:
Ba 0.188 0.069 0.125 x8
Ca 0.000 0.419 0.750 x4
Mn 0.123 0.023 0.377 x8
Cu 0.000 0.500 0.000 x4
F 0.005 0.070 0.656 x8
F 0.054 0.437 0.118 x8
F 0.085 0.219 0.489 x8
F 0.121 0.286 0.292 x8
F 0.141 0.258 0.953 x8
F 0.161 0.218 0.772 x8
F 0.247 0.404 0.596 x8


4.
Calculated powder XRD pattern
Compound: LiFeP4O12
Radiation: Cu Ka
Structure: a DFT-relaxed cell (PBE+U, the Materials Project)
Kinematic intensities with the Lorentz-polarization factor, no thermal factor.

The 8 most intense peaks (10° ≤ 2θ ≤ 90°), in order of rising 2θ:
index	d [Å]	Rel. int.
1 1 -1	6.221	40
1 1 1	4.665	43
2 0 -2	4.607	34
3 1 -1	3.599	41
2 2 0	3.297	24
3 1 0	3.252	31
0 2 2	3.045	100
3 1 -3	2.886	24

Atomic structure:
Cell: 11.973 8.433 9.965 Å, 90.00 117.92 90.00°
Space group C2/c (No. 15)
Unique sites:
Li 0.000 0.033 0.250 x4
Fe 0.250 0.250 0.500 x4
P 0.005 0.265 0.972 x8
P 0.190 0.493 0.196 x8
O 0.030 0.122 0.907 x8
O 0.063 0.255 0.430 x8
O 0.071 0.396 0.660 x8
O 0.138 0.356 0.069 x8
O 0.214 0.085 0.331 x8
O 0.232 0.423 0.350 x8


5.
Calculated powder XRD pattern
Compound: Li5FeSi2O8
Radiation: Cu Ka
Structure: a DFT-relaxed cell (PBE+U, the Materials Project)
Kinematic intensities with the Lorentz-polarization factor, no thermal factor.

The 8 most intense peaks (10° ≤ 2θ ≤ 90°), in order of rising 2θ:
index	d [Å]	Rel. int.
0 0 1	6.297	26
1 1 0	5.246	29
1 1 -1	4.034	100
2 0 1	3.169	26
1 1 -2	2.705	34
1 1 2	2.695	36
2 2 0	2.623	67
3 3 -2	1.531	18

Atomic structure:
Cell: 7.360 7.479 6.297 Å, 90.00 90.33 90.00°
Space group C2 (No. 5)
Unique sites:
Li 0.000 0.000 0.000 x2
Li 0.000 0.016 0.500 x2
Li 0.000 0.648 0.000 x2
Li 0.185 0.306 0.763 x4
Fe 0.000 0.642 0.500 x2
Si 0.175 0.312 0.243 x4
O 0.030 0.149 0.250 x4
O 0.044 0.499 0.260 x4
O 0.195 0.810 0.535 x4
O 0.198 0.820 0.965 x4


6.
Calculated powder XRD pattern
Compound: VPO5
Radiation: Cu Ka
Structure: a DFT-relaxed cell (PBE+U, the Materials Project)
Kinematic intensities with the Lorentz-polarization factor, no thermal factor.

The 8 most intense peaks (10° ≤ 2θ ≤ 90°), in order of rising 2θ:
index	d [Å]	Rel. int.
1 0 0	4.788	16
1 -1 0	3.780	100
1 1 -1	3.224	48
1 1 1	3.216	17
0 2 0	3.079	85
2 -1 1	2.099	14
1 0 3	1.887	14
0 0 4	1.540	14

Atomic structure:
Cell: 4.789 6.156 6.161 Å, 90.01 90.12 90.17°
Space group P1 (No. 1)
Unique sites:
V 0.000 0.000 0.000 x1
V 0.448 0.491 0.500 x1
P 0.724 0.496 0.000 x1
P 0.724 0.995 0.500 x1
O 0.112 0.495 0.500 x1
O 0.335 0.996 0.001 x1
O 0.523 0.189 0.485 x1
O 0.532 0.506 0.200 x1
O 0.533 0.474 0.800 x1
O 0.542 0.790 0.517 x1
O 0.906 0.701 0.982 x1
O 0.915 0.984 0.300 x1
O 0.916 0.019 0.700 x1
O 0.925 0.302 0.018 x1


7.
Calculated powder XRD pattern
Compound: MnO4F2
Radiation: Cu Ka
Structure: a DFT-relaxed cell (PBE+U, the Materials Project)
Kinematic intensities with the Lorentz-polarization factor, no thermal factor.

The 8 most intense peaks (10° ≤ 2θ ≤ 90°), in order of rising 2θ:
index	d [Å]	Rel. int.
1 1 0	4.998	100
2 0 1	4.568	56
1 1 1	4.048	61
4 0 0	3.047	30
0 1 2	2.920	33
1 1 2	2.839	42
4 0 1	2.788	43
0 2 2	2.146	22

Atomic structure:
Cell: 12.190 5.480 6.900 Å, 90.00 90.00 90.00°
Space group Pca2_1 (No. 29)
Unique sites:
Mn 0.149 0.244 0.000 x4
O 0.061 0.908 0.455 x4
O 0.097 0.916 0.289 x4
O 0.165 0.429 0.737 x4
O 0.190 0.307 0.584 x4
F 0.080 0.455 0.166 x4
F 0.176 0.949 0.882 x4